Theoretical PXRD pattern
Compound: BaHfBP2
Radiation: CuKα
Structure: a DFT-relaxed cell (GGA-PBE, Alexandria)

Peak list (12 most intense, 2θ from 10° to 90°, sorted by position)
13.34 deg, d 6.636, I = 11; 18.05 deg, d 4.915, I = 100; 25.63 deg, d 3.475, I = 31; 26.87 deg, d 3.318, I = 32; 32.56 deg, d 2.750, I = 48; 36.57 deg, d 2.457, I = 28; 37.47 deg, d 2.400, I = 24; 41.07 deg, d 2.198, I = 25; 45.96 deg, d 1.975, I = 28; 49.76 deg, d 1.832, I = 29; 60.11 deg, d 1.539, I = 13; 71.21 deg, d 1.324, I = 10

Structural model:
```
5
Lattice="4.9148 0.0000 0.0000 0.0000 4.9148 0.0000 0.0000 0.0000 6.6363" Properties=species:S:1:pos:R:3 pbc="T T T"
Ba 0.0000 0.0000 0.0000
Hf 0.0000 0.0000 3.3181
B 2.4574 2.4574 0.0000
P 0.0000 2.4574 3.3181
P 2.4574 0.0000 3.3181
```